This entry pairs a crystal structure of Pm5Nd4Tl2 with its theoretical powder XRD pattern. Radiation: λ = 1.5418 Å (Cu Kα). Structure: a PBE-relaxed structure.

Principal peaks in the range 2θ from 15° to 90°, in order of rising 2θ:
| 2theta | Rel. int. |
| --- | --- |
| 31.15 | 100 |
| 33.40 | 92 |
| 46.32 | 35 |
| 53.95 | 16 |
| 58.30 | 34 |
| 59.70 | 17 |
| 75.04 | 12 |
| 78.74 | 14 |

Crystal structure
```
11
Lattice="2.683 1.549 15.826 -2.683 1.549 15.826 0.000 -3.098 15.826" Properties=species:S:1:pos:R:3 pbc="T T T"
Pm 0.000 0.000 0.000
Pm 0.000 0.000 7.043
Pm 0.000 0.000 14.415
Pm 0.000 0.000 33.062
Pm 0.000 0.000 40.434
Nd 0.000 0.000 3.486
Nd 0.000 0.000 10.740
Nd 0.000 0.000 36.737
Nd 0.000 0.000 43.992
Tl 0.000 0.000 18.159
Tl 0.000 0.000 29.318
```

This entry pairs a crystal structure of MgZr5 with its theoretical powder XRD pattern. Radiation: λ = 1.5418 Å (Cu Kα). Structure: a PBE-relaxed structure.

Principal peaks in the range 2θ from 15° to 90°, in order of rising 2θ:
| 2theta | Rel. int. |
| --- | --- |
| 34.52 | 100 |
| 39.80 | 17 |
| 40.04 | 16 |
| 40.37 | 16 |
| 58.16 | 11 |
| 68.87 | 13 |
| 69.19 | 12 |
| 69.65 | 12 |

Crystal structure
```
6
Lattice="2.252 -6.794 0.000 2.252 6.794 0.000 0.000 0.000 4.469" Properties=species:S:1:pos:R:3 pbc="T T T"
Mg 0.000 0.000 0.000
Zr 2.252 4.551 2.234
Zr 2.252 2.271 0.000
Zr 2.252 0.000 2.234
Zr 2.252 -2.271 0.000
Zr 2.252 -4.551 2.234
```

This entry pairs a crystal structure of AcNdSmY with its theoretical powder XRD pattern. Radiation: λ = 1.5418 Å (Cu Kα). Structure: a PBE-relaxed structure.

Principal peaks in the range 2θ from 15° to 90°, in order of rising 2θ:
| 2theta | Rel. int. |
| --- | --- |
| 18.84 | 13 |
| 29.38 | 100 |
| 34.05 | 51 |
| 48.92 | 37 |
| 58.10 | 44 |
| 60.95 | 13 |
| 79.30 | 18 |
| 81.75 | 11 |

Crystal structure
```
4
Lattice="-2.634 2.634 5.260 2.634 -2.634 5.260 2.634 2.634 -5.260" Properties=species:S:1:pos:R:3 pbc="T T T"
Ac 0.000 0.000 0.000
Nd 0.000 2.634 2.630
Sm 2.634 0.000 2.630
Y 0.000 0.000 5.260
```

This entry pairs a crystal structure of NpCuBi2O8 with its theoretical powder XRD pattern. Radiation: λ = 1.5418 Å (Cu Kα). Structure: a PBE-relaxed structure.

Principal peaks in the range 2θ from 15° to 90°, in order of rising 2θ:
| 2theta | Rel. int. |
| --- | --- |
| 22.67 | 42 |
| 24.30 | 100 |
| 26.86 | 92 |
| 28.88 | 82 |
| 30.79 | 63 |
| 31.51 | 35 |
| 31.72 | 48 |
| 35.10 | 32 |

Crystal structure
```
12
Lattice="4.772 0.000 0.000 0.522 5.137 0.000 0.242 0.703 7.212" Properties=species:S:1:pos:R:3 pbc="T T T"
Np 0.000 0.000 0.000
Cu 0.121 0.352 3.606
Bi 2.334 2.570 1.936
Bi 3.201 3.270 5.275
O 0.968 2.004 6.045
O 0.849 0.879 1.958
O 1.866 4.043 3.682
O 2.310 4.632 6.984
O 3.226 1.208 0.227
O 3.670 1.798 3.530
O 4.686 4.962 5.254
O 4.567 3.837 1.166
```